# 1
For Pm3Dy2Y6, a crystal structure in Alexandria, relaxed with PBE gives the calculated powder diffraction line list in this record (Cu Kα).

Crystal structure
a = 6.201 Å, b = 8.000 Å, c = 8.034 Å
α = 107.44°, β = 104.76°, γ = 97.30°
Element x y z (fractional)
Pm (0.000, 0.000, 0.000)
Pm (0.364, 0.272, 0.455)
Pm (0.636, 0.728, 0.545)
Dy (0.090, 0.819, 0.363)
Dy (0.910, 0.181, 0.637)
Y (0.182, 0.635, 0.726)
Y (0.272, 0.454, 0.091)
Y (0.455, 0.092, 0.818)
Y (0.545, 0.908, 0.182)
Y (0.728, 0.546, 0.909)
Y (0.818, 0.365, 0.274)

Main lines, low angle first (2θ = 10–90°):
30.48 deg, intensity 100
30.59 deg, intensity 99
35.36 deg, intensity 67
35.49 deg, intensity 33
50.92 deg, intensity 24
51.02 deg, intensity 35
60.36 deg, intensity 14
60.48 deg, intensity 21
60.62 deg, intensity 35
60.74 deg, intensity 14


# 2
For Ti7O8, a crystal structure in Alexandria, relaxed with PBE gives the calculated powder diffraction line list in this record (Cu Kα).

Crystal structure
a = 5.187 Å, b = 5.187 Å, c = 9.035 Å
α = 107.29°, β = 107.29°, γ = 46.20°
Element x y z (fractional)
Ti (0.000, 0.000, 0.000)
Ti (0.001, 0.001, 0.288)
Ti (0.337, 0.337, 0.446)
Ti (0.662, 0.662, 0.199)
Ti (0.679, 0.679, 0.873)
Ti (0.696, 0.696, 0.556)
Ti (0.984, 0.984, 0.661)
O (0.155, 0.155, 0.527)
O (0.186, 0.186, 0.212)
O (0.514, 0.514, 0.334)
O (0.518, 0.518, 0.653)
O (0.523, 0.523, 0.978)
O (0.829, 0.829, 0.087)
O (0.840, 0.840, 0.776)
O (0.843, 0.843, 0.416)

Main lines, low angle first (2θ = 10–90°):
10.35 deg, intensity 45
23.99 deg, intensity 68
37.15 deg, intensity 100
42.28 deg, intensity 90
42.64 deg, intensity 83
44.53 deg, intensity 82
61.61 deg, intensity 40
63.08 deg, intensity 44
63.35 deg, intensity 42
79.14 deg, intensity 35


# 3
For CsK2Rb5O, a crystal structure in Alexandria, relaxed with PBE gives the calculated powder diffraction line list in this record (Cu Kα).

Crystal structure
a = 9.308 Å, b = 9.308 Å, c = 9.308 Å
α = 109.67°, β = 109.67°, γ = 109.08°
Element x y z (fractional)
Cs (0.000, 0.000, 0.000)
K (0.479, 0.979, 0.500)
K (0.979, 0.479, 0.500)
Rb (0.472, 0.472, 0.000)
Rb (0.541, 0.541, 0.623)
Rb (0.541, 0.919, 0.000)
Rb (0.919, 0.541, 0.000)
Rb (0.919, 0.919, 0.377)
O (0.734, 0.734, 0.000)

Main lines, low angle first (2θ = 10–90°):
11.65 deg, intensity 46
23.41 deg, intensity 100
26.27 deg, intensity 20
31.14 deg, intensity 13
31.20 deg, intensity 12
37.49 deg, intensity 12
39.31 deg, intensity 14
41.04 deg, intensity 12
49.43 deg, intensity 11
52.57 deg, intensity 11


# 4
For DyAl2Br8, a crystal structure in Alexandria, relaxed with PBE gives the calculated powder diffraction line list in this record (Cu Kα).

Crystal structure
a = 8.387 Å, b = 8.387 Å, c = 6.786 Å
α = 96.76°, β = 96.76°, γ = 74.11°
Element x y z (fractional)
Dy (0.000, 0.000, 0.000)
Al (0.194, 0.194, 0.648)
Al (0.806, 0.806, 0.352)
Br (0.078, 0.722, 0.234)
Br (0.182, 0.182, 0.287)
Br (0.278, 0.922, 0.766)
Br (0.362, 0.362, 0.774)
Br (0.638, 0.638, 0.226)
Br (0.722, 0.078, 0.234)
Br (0.818, 0.818, 0.713)
Br (0.922, 0.278, 0.766)

Main lines, low angle first (2θ = 10–90°):
11.01 deg, intensity 100
17.55 deg, intensity 32
17.96 deg, intensity 28
24.79 deg, intensity 98
26.56 deg, intensity 23
26.89 deg, intensity 19
27.24 deg, intensity 46
33.22 deg, intensity 20
34.97 deg, intensity 26
43.47 deg, intensity 30


# 5
For MgCd5Au, a crystal structure in Alexandria, relaxed with PBE gives the calculated powder diffraction line list in this record (Cu Kα).

Crystal structure
a = 6.410 Å, b = 6.410 Å, c = 10.264 Å
α = 105.15°, β = 105.15°, γ = 51.22°
Element x y z (fractional)
Mg (0.239, 0.761, 0.750)
Mg (0.761, 0.239, 0.250)
Cd (0.231, 0.239, 0.180)
Cd (0.239, 0.231, 0.680)
Cd (0.260, 0.740, 0.250)
Cd (0.360, 0.365, 0.472)
Cd (0.365, 0.360, 0.972)
Cd (0.635, 0.640, 0.028)
Cd (0.640, 0.635, 0.528)
Cd (0.740, 0.260, 0.750)
Cd (0.761, 0.769, 0.320)
Cd (0.769, 0.761, 0.820)
Au (0.000, 0.000, 0.000)
Au (0.000, 0.000, 0.500)

Main lines, low angle first (2θ = 10–90°):
20.41 deg, intensity 45
29.09 deg, intensity 53
32.33 deg, intensity 73
35.43 deg, intensity 31
36.59 deg, intensity 30
37.26 deg, intensity 43
38.13 deg, intensity 100
38.52 deg, intensity 74
41.16 deg, intensity 48
42.92 deg, intensity 56


# 6
For CeY3Ho, a crystal structure in Alexandria, relaxed with PBE gives the calculated powder diffraction line list in this record (Cu Kα).

Crystal structure
a = 3.606 Å, b = 8.467 Å, c = 11.097 Å
α = 106.58°, β = 99.35°, γ = 90.01°
Element x y z (fractional)
Ce (0.187, 0.382, 0.373)
Ce (0.813, 0.618, 0.627)
Y (0.017, 0.216, 0.034)
Y (0.217, 0.816, 0.435)
Y (0.416, 0.415, 0.832)
Y (0.584, 0.585, 0.168)
Y (0.783, 0.184, 0.565)
Y (0.983, 0.784, 0.966)
Ho (0.384, 0.981, 0.767)
Ho (0.616, 0.019, 0.233)

Main lines, low angle first (2θ = 10–90°):
28.54 deg, intensity 29
31.57 deg, intensity 29
32.60 deg, intensity 19
32.72 deg, intensity 100
43.00 deg, intensity 10
43.15 deg, intensity 9
50.51 deg, intensity 15
57.03 deg, intensity 12
60.91 deg, intensity 17
61.55 deg, intensity 15


# 7
For AlPb2Au5, a crystal structure in Alexandria, relaxed with PBE gives the calculated powder diffraction line list in this record (Cu Kα).

Crystal structure
a = 5.394 Å, b = 5.394 Å, c = 7.531 Å
α = 111.60°, β = 111.60°, γ = 66.55°
Element x y z (fractional)
Al (0.000, 0.000, 0.000)
Pb (0.030, 0.030, 0.455)
Pb (0.576, 0.576, 0.206)
Au (0.001, 0.492, 0.996)
Au (0.135, 0.614, 0.688)
Au (0.492, 0.001, 0.996)
Au (0.597, 0.597, 0.608)
Au (0.614, 0.135, 0.688)

Main lines, low angle first (2θ = 10–90°):
13.09 deg, intensity 29
28.09 deg, intensity 40
30.31 deg, intensity 70
33.04 deg, intensity 57
36.08 deg, intensity 47
36.32 deg, intensity 28
37.65 deg, intensity 100
40.16 deg, intensity 73
40.63 deg, intensity 40
50.92 deg, intensity 32


# 8
For Ba16Rh3Au5, a crystal structure in Alexandria, relaxed with PBE gives the calculated powder diffraction line list in this record (Cu Kα).

Crystal structure
a = 9.338 Å, b = 9.338 Å, c = 15.203 Å
α = 90.22°, β = 90.22°, γ = 59.58°
Element x y z (fractional)
Ba (0.000, 0.000, 0.000)
Ba (0.001, 0.001, 0.503)
Ba (0.007, 0.472, 0.510)
Ba (0.155, 0.155, 0.778)
Ba (0.170, 0.670, 0.772)
Ba (0.314, 0.314, 0.272)
Ba (0.319, 0.841, 0.273)
Ba (0.472, 0.007, 0.510)
Ba (0.482, 0.482, 0.514)
Ba (0.487, 0.972, 0.007)
Ba (0.500, 0.500, 0.004)
Ba (0.651, 0.651, 0.776)
Ba (0.670, 0.170, 0.772)
Ba (0.828, 0.828, 0.262)
Ba (0.841, 0.319, 0.273)
Ba (0.972, 0.487, 0.007)
Rh (0.159, 0.159, 0.390)
Rh (0.327, 0.824, 0.889)
Rh (0.824, 0.327, 0.889)
Au (0.157, 0.658, 0.387)
Au (0.325, 0.325, 0.650)
Au (0.657, 0.657, 0.147)
Au (0.658, 0.157, 0.387)
Au (0.825, 0.825, 0.887)

Main lines, low angle first (2θ = 10–90°):
11.64 deg, intensity 29
12.42 deg, intensity 64
24.90 deg, intensity 47
25.03 deg, intensity 100
28.30 deg, intensity 94
32.39 deg, intensity 35
37.05 deg, intensity 60
38.57 deg, intensity 67
38.83 deg, intensity 34
63.24 deg, intensity 28